MgNiP2O7: computed XRD peak list (Cu Kα (weighted mean of Kα1 and Kα2)), based on a crystal structure in the Materials Project, relaxed with GGA+U.

Structural model:
a = 5.8022 Å, b = 5.8022 Å, c = 5.1850 Å
α = 91.66°, β = 91.66°, γ = 106.62°
Fractional coordinates of all 11 atoms:
Mg1 0.0000 0.0000 0.0000
Ni1 0.1690 0.8310 0.5000
P1 0.4966 0.0961 0.0539
P2 0.9039 0.5034 0.9461
O1 0.0116 0.6467 0.1973
O2 0.0217 0.3169 0.8549
O3 0.3037 0.0992 0.2549
O4 0.3533 0.9884 0.8027
O5 0.6235 0.3765 0.0000
O6 0.6831 0.9783 0.1451
O7 0.9008 0.6963 0.7451

Main lines, sorted by position (2θ from 10° to 80°):
2θ 16.0, rel. 63
2θ 17.1, rel. 28
2θ 19.1, rel. 100
2θ 23.0, rel. 16
2θ 23.9, rel. 66
2θ 30.3, rel. 20
2θ 35.8, rel. 24
2θ 36.1, rel. 33
2θ 37.3, rel. 13
2θ 44.7, rel. 12

Sr2HfVO6: computed XRD peak list (Cu Kα (weighted mean of Kα1 and Kα2)), based on a crystal structure in the Materials Project, relaxed with GGA+U.

Structural model:
a = 5.6834 Å, b = 5.6834 Å, c = 5.6834 Å
α = 60.00°, β = 60.00°, γ = 60.00°
Fractional coordinates of all 10 atoms:
Sr1 0.2500 0.2500 0.2500
Sr2 0.7500 0.7500 0.7500
Hf1 0.0000 0.0000 0.0000
V1 0.5000 0.5000 0.5000
O1 0.2570 0.2570 0.7430
O2 0.2570 0.7430 0.2570
O3 0.2570 0.7430 0.7430
O4 0.7430 0.2570 0.2570
O5 0.7430 0.2570 0.7430
O6 0.7430 0.7430 0.2570

Main lines, sorted by position (2θ from 10° to 80°):
2θ 19.1, rel. 23
2θ 22.1, rel. 7
2θ 31.5, rel. 100
2θ 37.1, rel. 15
2θ 45.1, rel. 33
2θ 49.4, rel. 8
2θ 56.1, rel. 39
2θ 59.8, rel. 5
2θ 65.7, rel. 20
2θ 74.7, rel. 17

Li3Mn4B4O12: computed XRD peak list (Cu Kα (weighted mean of Kα1 and Kα2)), based on a crystal structure in the Materials Project, relaxed with GGA+U.

Structural model:
a = 5.3003 Å, b = 5.8872 Å, c = 9.0185 Å
α = 103.52°, β = 90.57°, γ = 113.11°
Fractional coordinates of all 23 atoms:
Li1 0.0000 0.0000 0.0000
Li2 0.1780 0.6382 0.9377
Li3 0.5102 0.9783 0.5012
Mn1 0.0457 0.0653 0.6632
Mn2 0.1334 0.5637 0.2754
Mn3 0.5462 0.0806 0.1758
Mn4 0.6282 0.5594 0.7575
B1 0.0393 0.0646 0.3380
B2 0.1500 0.5815 0.6078
B3 0.5326 0.0601 0.8352
B4 0.6510 0.5808 0.0979
O1 0.1985 0.4665 0.7216
O2 0.2516 0.9794 0.3315
O3 0.3096 0.6133 0.4924
O4 0.3651 0.0218 0.9503
O5 0.4259 0.6504 0.1113
O6 0.4668 0.1481 0.7142
O7 0.7213 0.4784 0.2062
O8 0.7597 0.9965 0.8282
O9 0.8122 0.6237 0.9791
O10 0.8821 0.0592 0.4579
O11 0.9497 0.6808 0.6319
O12 0.9809 0.1537 0.2163

Main lines, sorted by position (2θ from 10° to 80°):
2θ 20.4, rel. 100
2θ 20.7, rel. 28
2θ 22.0, rel. 51
2θ 22.9, rel. 94
2θ 33.9, rel. 32
2θ 34.1, rel. 36
2θ 34.3, rel. 100
2θ 34.5, rel. 28
2θ 39.8, rel. 29
2θ 40.5, rel. 65

MgV2MoO8: computed XRD peak list (Cu Kα (weighted mean of Kα1 and Kα2)), based on a crystal structure in the Materials Project, relaxed with GGA+U.

Structural model:
a = 3.7210 Å, b = 5.2626 Å, c = 9.7732 Å
α = 90.00°, β = 101.03°, γ = 90.00°
Fractional coordinates of all 12 atoms:
Mg1 0.0000 0.0000 0.0000
V1 0.2016 0.4606 0.8741
V2 0.7984 0.4606 0.1259
Mo1 0.0000 0.4072 0.5000
O1 0.0000 0.7315 0.5000
O2 0.0985 0.3335 0.6974
O3 0.2129 0.7841 0.8764
O4 0.2811 0.3349 0.0800
O5 0.5000 0.3137 0.5000
O6 0.7189 0.3349 0.9200
O7 0.7871 0.7841 0.1236
O8 0.9015 0.3335 0.3026

Main lines, sorted by position (2θ from 10° to 80°):
2θ 16.8, rel. 100
2θ 18.5, rel. 38
2θ 24.4, rel. 49
2θ 27.9, rel. 18
2θ 29.8, rel. 34
2θ 32.8, rel. 22
2θ 33.6, rel. 18
2θ 34.1, rel. 18
2θ 37.8, rel. 19
2θ 52.1, rel. 16

SrLaMn2O5: computed XRD peak list (Cu Kα (weighted mean of Kα1 and Kα2)), based on a crystal structure in the Materials Project, relaxed with GGA+U.

Structural model:
a = 5.4951 Å, b = 5.6376 Å, c = 9.1418 Å
α = 107.84°, β = 107.42°, γ = 90.25°
Fractional coordinates of all 18 atoms:
Sr1 0.0000 0.0000 0.0000
Sr2 0.2757 0.2754 0.5507
La1 0.5076 0.4668 0.9990
La2 0.7838 0.7431 0.5515
Mn1 0.1637 0.6800 0.2753
Mn2 0.3841 0.8735 0.7755
Mn3 0.6786 0.0746 0.2756
Mn4 0.8841 0.3736 0.7758
O1 0.0517 0.0211 0.2752
O2 0.1252 0.1182 0.7591
O3 0.1500 0.6318 0.8002
O4 0.2112 0.6984 0.5056
O5 0.5084 0.0807 0.0451
O6 0.5546 0.7137 0.2752
O7 0.6251 0.1064 0.7508
O8 0.6408 0.6329 0.7913
O9 0.7375 0.3111 0.5053
O10 0.9811 0.4667 0.0457

Main lines, sorted by position (2θ from 10° to 80°):
2θ 22.6, rel. 19
2θ 31.4, rel. 100
2θ 31.7, rel. 31
2θ 32.6, rel. 34
2θ 40.0, rel. 13
2θ 43.9, rel. 16
2θ 46.0, rel. 17
2θ 46.2, rel. 14
2θ 55.7, rel. 11
2θ 57.5, rel. 10

Question: Number 3 is which compound?
Answer: Li3Mn4B4O12